Starting from a crystal structure in Alexandria, relaxed with GGA-PBE, the powder diffractogram of AlCo3H3 was calculated for CuKα.
Neutral-atom scattering factors, no anomalous dispersion.

Structural model:
a = 4.7696 Å, b = 4.7696 Å, c = 4.7696 Å
α = 90.00°, β = 90.00°, γ = 90.00°
Fractional positions:
Al (0.0000, 0.0000, 0.0000)
Al (0.5000, 0.5000, 0.5000)
Co (0.0000, 0.2500, 0.5000)
Co (0.0000, 0.7500, 0.5000)
Co (0.2500, 0.5000, 0.0000)
Co (0.5000, 0.0000, 0.2500)
Co (0.5000, 0.0000, 0.7500)
Co (0.7500, 0.5000, 0.0000)
H (0.0000, 0.5000, 0.2500)
H (0.0000, 0.5000, 0.7500)
H (0.2500, 0.0000, 0.5000)
H (0.5000, 0.2500, 0.0000)
H (0.5000, 0.7500, 0.0000)
H (0.7500, 0.0000, 0.5000)

Largest 10 diffraction maxima, in order of falling intensity, 10° ≤ 2θ ≤ 90°:
(2 1 0), 2θ = 42.37°, rel. 1000; (2 1 1), 2θ = 46.65°, rel. 409; (2 0 0), 2θ = 37.72°, rel. 194; (3 2 0), 2θ = 71.29°, rel. 191; (3 2 1), 2θ = 74.42°, rel. 184; (1 1 0), 2θ = 26.43°, rel. 168; (2 2 2), 2θ = 68.10°, rel. 124; (4 0 0), 2θ = 80.56°, rel. 103; (3 1 0), 2θ = 61.48°, rel. 25; (2 2 0), 2θ = 54.41°, rel. 19